Calculated X-ray diffraction stick pattern
Compound: Tb8Ga3Se3S
Radiation: Cu Ka
Structure: DFT lattice parameters and positions (PBE)
Neutral-atom scattering factors, no anomalous dispersion.

Principal peaks in the range 15° ≤ 2θ ≤ 90°, in order of rising 2θ:
2θ 25.22, I = 10
2θ 27.15, I = 26
2θ 30.90, I = 100
2θ 43.03, I = 40
2θ 45.48, I = 34
2θ 52.71, I = 9
2θ 56.00, I = 18
2θ 64.40, I = 12
2θ 71.34, I = 18
2θ 74.89, I = 10

Cell and atoms:
a = 7.9737 Å, b = 7.9737 Å, c = 8.4277 Å
α = 118.17°, β = 118.17°, γ = 60.08°
Element x y z (fractional)
Tb 0.2469 0.2469 0.2464
Tb 0.2467 0.7529 0.2461
Tb 0.2471 0.7533 0.7539
Tb 0.2518 0.2518 0.7551
Tb 0.7482 0.7482 0.2449
Tb 0.7529 0.2467 0.2461
Tb 0.7533 0.2471 0.7539
Tb 0.7531 0.7531 0.7536
Ga 0.0000 0.0000 0.5000
Ga 0.0000 0.5000 0.5000
Ga 0.5000 0.0000 0.5000
Se 0.0000 0.5000 0.0000
Se 0.5000 0.0000 0.0000
Se 0.5000 0.5000 0.0000
S 0.0000 0.0000 0.0000

***

Calculated X-ray diffraction stick pattern
Compound: Ga2Si2S
Radiation: Cu Ka
Structure: DFT lattice parameters and positions (PBE)
Neutral-atom scattering factors, no anomalous dispersion.

Principal peaks in the range 15° ≤ 2θ ≤ 90°, in order of rising 2θ:
2θ 19.80, I = 45
2θ 23.77, I = 38
2θ 28.22, I = 39
2θ 30.05, I = 25
2θ 30.78, I = 37
2θ 31.12, I = 100
2θ 47.26, I = 29
2θ 48.01, I = 24
2θ 49.49, I = 32
2θ 50.76, I = 28

Cell and atoms:
a = 4.6936 Å, b = 3.7435 Å, c = 6.2253 Å
α = 90.00°, β = 107.18°, γ = 90.00°
Element x y z (fractional)
Ga 0.0000 0.0000 0.0000
Ga 0.0368 0.0000 0.6112
Si 0.3620 0.5000 0.2342
Si 0.6744 0.0000 0.2379
S 0.3586 0.5000 0.5935